No. 1
Theoretical powder diffraction line list
Compound: Li2FeSiO4
Radiation: Cu Kα X-rays
Structure: a structure optimized by DFT (PBE+U)

Atomic structure:
abc: 10.8067 6.3592 5.1182
angles: 90.00 90.00 90.00
Sites, in units of the cell vectors:
Li 0.1688 0.0051 0.2092
Li 0.1688 0.4949 0.2092
Li 0.3312 0.5051 0.7092
Li 0.3312 0.9949 0.7092
Li 0.6688 0.0051 0.2908
Li 0.6688 0.4949 0.2908
Li 0.8312 0.5051 0.7908
Li 0.8312 0.9949 0.7908
Fe 0.0799 0.7500 0.8003
Fe 0.4201 0.2500 0.3003
Fe 0.5799 0.7500 0.6997
Fe 0.9201 0.2500 0.1997
Si 0.0844 0.2500 0.6962
Si 0.4156 0.7500 0.1962
Si 0.5844 0.2500 0.8038
Si 0.9156 0.7500 0.3038
O 0.0622 0.7500 0.2134
O 0.0906 0.2500 0.3731
O 0.1567 0.0386 0.8078
O 0.1567 0.4614 0.8078
O 0.3433 0.5386 0.3078
O 0.3433 0.9614 0.3078
O 0.4094 0.7500 0.8731
O 0.4378 0.2500 0.7134
O 0.5622 0.7500 0.2866
O 0.5906 0.2500 0.1269
O 0.6567 0.0386 0.6922
O 0.6567 0.4614 0.6922
O 0.8433 0.5386 0.1922
O 0.8433 0.9614 0.1922
O 0.9094 0.7500 0.6269
O 0.9378 0.2500 0.7866

The 6 most intense peaks (10 to 80 degrees two-theta), by angle:
2θ (°)	intensity
16.41	57
23.95	100
28.06	46
32.68	60
35.07	52
58.93	31

No. 2
Theoretical powder diffraction line list
Compound: Li7Fe7SiO16
Radiation: Cu Kα X-rays
Structure: a structure optimized by DFT (PBE+U)

Atomic structure:
abc: 5.1149 5.6507 12.8815
angles: 89.92 89.77 89.59
Sites, in units of the cell vectors:
Li 0.0000 0.0000 0.0000
Li 0.0004 0.4865 0.3783
Li 0.0108 0.5011 0.8752
Li 0.4768 0.1164 0.6293
Li 0.4981 0.1543 0.1228
Li 0.5001 0.6520 0.2517
Li 0.9953 0.9916 0.5036
Fe 0.0031 0.4870 0.1241
Fe 0.0132 0.4793 0.6293
Fe 0.4776 0.1535 0.8731
Fe 0.4895 0.6587 0.5034
Fe 0.4912 0.1534 0.3783
Fe 0.4978 0.6694 0.9976
Fe 0.9950 0.9839 0.2501
Si 0.4885 0.6625 0.7532
O 0.1027 0.6579 0.2458
O 0.1061 0.1640 0.1333
O 0.1190 0.1447 0.3696
O 0.1195 0.1844 0.6100
O 0.1217 0.6568 0.5069
O 0.1273 0.6614 0.0062
O 0.1374 0.1924 0.8948
O 0.1754 0.6179 0.7490
O 0.5622 0.9413 0.7583
O 0.6044 0.9752 0.4966
O 0.6050 0.4766 0.3882
O 0.6047 0.5131 0.8580
O 0.6126 0.9837 0.9939
O 0.6185 0.9967 0.2561
O 0.6209 0.5397 0.6450
O 0.6253 0.4977 0.1137

The 6 most intense peaks (10 to 80 degrees two-theta), by angle:
2θ (°)	intensity
20.91	81
22.19	100
31.67	37
31.99	85
35.09	67
36.65	52

No. 3
Theoretical powder diffraction line list
Compound: Li2FeSiO4
Radiation: Cu Kα X-rays
Structure: a structure optimized by DFT (PBE+U)

Atomic structure:
abc: 5.0691 5.0691 11.6399
angles: 90.00 90.00 120.00
Sites, in units of the cell vectors:
Li 0.1157 0.6732 0.4141
Li 0.3268 0.4424 0.7474
Li 0.4424 0.3268 0.2526
Li 0.5576 0.8843 0.0807
Li 0.6732 0.1157 0.5859
Li 0.8843 0.5576 0.9193
Fe 0.0000 0.5439 0.1667
Fe 0.4561 0.4561 0.5000
Fe 0.5439 0.0000 0.8333
Si 0.0000 0.8082 0.6667
Si 0.1918 0.1918 0.0000
Si 0.8082 0.0000 0.3333
O 0.1133 0.6789 0.7751
O 0.1435 0.2890 0.3713
O 0.1455 0.8565 0.0380
O 0.2890 0.1435 0.6287
O 0.3211 0.4345 0.1085
O 0.4345 0.3211 0.8915
O 0.5655 0.8867 0.4418
O 0.6789 0.1133 0.2249
O 0.7110 0.8545 0.7047
O 0.8545 0.7110 0.2953
O 0.8565 0.1455 0.9620
O 0.8867 0.5655 0.5582

The 6 most intense peaks (10 to 80 degrees two-theta), by angle:
2θ (°)	intensity
21.64	72
25.41	100
30.75	65
35.42	41
44.03	29
47.59	50

No. 4
Theoretical powder diffraction line list
Compound: LiFeSi3O8
Radiation: Cu Kα X-rays
Structure: a structure optimized by DFT (PBE+U)

Atomic structure:
abc: 6.8440 7.1790 7.8130
angles: 64.82 65.21 77.06
Sites, in units of the cell vectors:
Li 0.1516 0.3861 0.2774
Li 0.8484 0.6139 0.7226
Fe 0.1430 0.9301 0.3221
Fe 0.8570 0.0699 0.6779
Si 0.2543 0.2620 0.6673
Si 0.2792 0.6654 0.6990
Si 0.4032 0.8323 0.9325
Si 0.5968 0.1677 0.0675
Si 0.7208 0.3346 0.3010
Si 0.7457 0.7380 0.3327
O 0.0842 0.2590 0.5761
O 0.1058 0.8453 0.6199
O 0.1793 0.4502 0.7550
O 0.2625 0.0490 0.8571
O 0.3069 0.6598 0.8992
O 0.3365 0.7648 0.1746
O 0.3391 0.1543 0.1986
O 0.4923 0.3009 0.4889
O 0.5077 0.6991 0.5111
O 0.6609 0.8457 0.8014
O 0.6635 0.2352 0.8254
O 0.6931 0.3402 0.1008
O 0.7375 0.9510 0.1429
O 0.8207 0.5498 0.2450
O 0.8942 0.1547 0.3801
O 0.9158 0.7410 0.4239

The 6 most intense peaks (10 to 80 degrees two-theta), by angle:
2θ (°)	intensity
13.65	48
23.04	45
24.41	100
27.00	26
31.55	27
33.52	26

Please write out number 3 again, unchanged.
Theoretical powder diffraction line list
Compound: Li2FeSiO4
Radiation: Cu Kα X-rays
Structure: a structure optimized by DFT (PBE+U)

Atomic structure:
abc: 5.0691 5.0691 11.6399
angles: 90.00 90.00 120.00
Sites, in units of the cell vectors:
Li 0.1157 0.6732 0.4141
Li 0.3268 0.4424 0.7474
Li 0.4424 0.3268 0.2526
Li 0.5576 0.8843 0.0807
Li 0.6732 0.1157 0.5859
Li 0.8843 0.5576 0.9193
Fe 0.0000 0.5439 0.1667
Fe 0.4561 0.4561 0.5000
Fe 0.5439 0.0000 0.8333
Si 0.0000 0.8082 0.6667
Si 0.1918 0.1918 0.0000
Si 0.8082 0.0000 0.3333
O 0.1133 0.6789 0.7751
O 0.1435 0.2890 0.3713
O 0.1455 0.8565 0.0380
O 0.2890 0.1435 0.6287
O 0.3211 0.4345 0.1085
O 0.4345 0.3211 0.8915
O 0.5655 0.8867 0.4418
O 0.6789 0.1133 0.2249
O 0.7110 0.8545 0.7047
O 0.8545 0.7110 0.2953
O 0.8565 0.1455 0.9620
O 0.8867 0.5655 0.5582

The 6 most intense peaks (10 to 80 degrees two-theta), by angle:
2θ (°)	intensity
21.64	72
25.41	100
30.75	65
35.42	41
44.03	29
47.59	50

Copy entry 4 word for word.
Theoretical powder diffraction line list
Compound: LiFeSi3O8
Radiation: Cu Kα X-rays
Structure: a structure optimized by DFT (PBE+U)

Atomic structure:
abc: 6.8440 7.1790 7.8130
angles: 64.82 65.21 77.06
Sites, in units of the cell vectors:
Li 0.1516 0.3861 0.2774
Li 0.8484 0.6139 0.7226
Fe 0.1430 0.9301 0.3221
Fe 0.8570 0.0699 0.6779
Si 0.2543 0.2620 0.6673
Si 0.2792 0.6654 0.6990
Si 0.4032 0.8323 0.9325
Si 0.5968 0.1677 0.0675
Si 0.7208 0.3346 0.3010
Si 0.7457 0.7380 0.3327
O 0.0842 0.2590 0.5761
O 0.1058 0.8453 0.6199
O 0.1793 0.4502 0.7550
O 0.2625 0.0490 0.8571
O 0.3069 0.6598 0.8992
O 0.3365 0.7648 0.1746
O 0.3391 0.1543 0.1986
O 0.4923 0.3009 0.4889
O 0.5077 0.6991 0.5111
O 0.6609 0.8457 0.8014
O 0.6635 0.2352 0.8254
O 0.6931 0.3402 0.1008
O 0.7375 0.9510 0.1429
O 0.8207 0.5498 0.2450
O 0.8942 0.1547 0.3801
O 0.9158 0.7410 0.4239

The 6 most intense peaks (10 to 80 degrees two-theta), by angle:
2θ (°)	intensity
13.65	48
23.04	45
24.41	100
27.00	26
31.55	27
33.52	26